# 1
# EuThC2
Computed powder XRD pattern, CuKα. Input: DFT lattice parameters and positions (PBE).

The 6 most intense peaks (10 to 90 degrees two-theta), in order of rising 2θ:
2θ 29.1, d = 3.072 Å, I 100
2θ 29.3, d = 3.051 Å, I 33
2θ 33.7, d = 2.656 Å, I 86
2θ 48.3, d = 1.883 Å, I 31
2θ 48.6, d = 1.873 Å, I 31
2θ 57.5, d = 1.602 Å, I 31

Structural model:
```
EuThC2
1.0
3.7657 0.0000 0.0000
-1.8828 3.2612 0.0000
0.0000 0.0000 18.3078
Eu Th C
3 3 6
direct
0.0000 0.0000 0.0000 Eu
0.3333 0.6667 0.6667 Eu
0.6667 0.3333 0.3333 Eu
0.0000 0.0000 0.5000 Th
0.3333 0.6667 0.1667 Th
0.6667 0.3333 0.8333 Th
0.0000 0.0000 0.2426 C
0.0000 0.0000 0.7574 C
0.3333 0.6667 0.4241 C
0.3333 0.6667 0.9093 C
0.6667 0.3333 0.0907 C
0.6667 0.3333 0.5759 C
```

# 2
# Pr6MgCd2
Computed powder XRD pattern, CuKα. Input: DFT lattice parameters and positions (PBE).

The 6 most intense peaks (10 to 90 degrees two-theta), in order of rising 2θ:
2θ 29.3, d = 3.049 Å, I 84
2θ 31.4, d = 2.851 Å, I 68
2θ 32.1, d = 2.787 Å, I 100
2θ 33.3, d = 2.691 Å, I 50
2θ 51.4, d = 1.778 Å, I 26
2θ 54.3, d = 1.689 Å, I 22

Structural model:
```
Pr6MgCd2
1.0
-5.1376 5.3350 5.3811
5.1376 -5.3350 5.3811
5.1376 5.3350 -5.3811
Pr Mg Cd
12 2 4
direct
0.0539 0.2321 0.8218 Pr
0.2536 0.3000 0.5537 Pr
0.2536 0.7000 0.9536 Pr
0.2668 0.5848 0.3180 Pr
0.2668 0.9488 0.6820 Pr
0.4103 0.2321 0.1782 Pr
0.5897 0.7679 0.8218 Pr
0.7332 0.0512 0.3180 Pr
0.7332 0.4152 0.6820 Pr
0.7464 0.3000 0.0464 Pr
0.7464 0.7000 0.4463 Pr
0.9461 0.7679 0.1782 Pr
0.0000 0.5000 0.5000 Mg
0.5000 0.5000 0.0000 Mg
0.0000 0.1408 0.1408 Cd
0.0000 0.8592 0.8592 Cd
0.3667 0.0000 0.3667 Cd
0.6333 0.0000 0.6333 Cd
```

# 3
# Sm4Zn5Co2
Computed powder XRD pattern, CuKα. Input: DFT lattice parameters and positions (PBE).

The 6 most intense peaks (10 to 90 degrees two-theta), in order of rising 2θ:
2θ 32.9, d = 2.722 Å, I 100
2θ 34.3, d = 2.615 Å, I 98
2θ 34.9, d = 2.573 Å, I 66
2θ 38.7, d = 2.327 Å, I 48
2θ 39.5, d = 2.281 Å, I 61
2θ 42.2, d = 2.143 Å, I 48

Structural model:
```
Sm4Zn5Co2
1.0
6.9482 0.0000 0.0000
0.0000 3.8461 0.0000
-0.7423 0.0000 8.7606
Sm Zn Co
4 5 2
direct
0.1734 0.0000 0.3532 Sm
0.2445 0.0000 0.9340 Sm
0.7555 0.0000 0.0660 Sm
0.8266 0.0000 0.6468 Sm
0.1903 0.5000 0.6544 Zn
0.4349 0.5000 0.1899 Zn
0.5000 0.5000 0.5000 Zn
0.5651 0.5000 0.8101 Zn
0.8097 0.5000 0.3456 Zn
0.0594 0.5000 0.1303 Co
0.9406 0.5000 0.8697 Co
```